Record 1
Li7Fe3CoP6O24: calculated powder diffractogram (Cu Ka), based on a cell relaxed with PBE+U.

Main lines, low angle first (2θ = 5–70°):
2θ/deg  intensity
14.2  34.1
20.1  25.0
20.2  59.9
23.6  100.0
28.6  35.6
31.2  18.9
32.2  52.5
35.2  37.6
48.4  19.5
55.0  26.8

Cell and atoms:
Unit cell a=8.7935 b=8.7935 c=8.7935 alpha=60.38 beta=60.38 gamma=60.38
Atoms (fractional coordinates):
Li: 0.0000 0.0000 0.0000
Li: 0.2030 0.3692 0.7095
Li: 0.2807 0.8210 0.6340
Li: 0.3692 0.7095 0.2030
Li: 0.6340 0.2807 0.8210
Li: 0.7095 0.2030 0.3692
Li: 0.8210 0.6340 0.2807
Fe: 0.1291 0.1291 0.1291
Fe: 0.3323 0.3323 0.3323
Fe: 0.8349 0.8349 0.8349
Co: 0.6318 0.6318 0.6318
P: 0.0210 0.7328 0.4340
P: 0.2283 0.5258 0.9384
P: 0.4340 0.0210 0.7328
P: 0.5258 0.9384 0.2283
P: 0.7328 0.4340 0.0210
P: 0.9384 0.2283 0.5258
O: 0.0818 0.8768 0.2377
O: 0.0889 0.7244 0.8771
O: 0.1240 0.2331 0.4972
O: 0.1697 0.3725 0.9618
O: 0.1951 0.5509 0.4430
O: 0.2331 0.4972 0.1240
O: 0.2377 0.0818 0.8768
O: 0.3725 0.9618 0.1697
O: 0.4140 0.5157 0.7777
O: 0.4430 0.1951 0.5509
O: 0.4451 0.8558 0.7069
O: 0.4972 0.1240 0.2331
O: 0.5157 0.7777 0.4140
O: 0.5509 0.4430 0.1951
O: 0.5920 0.9771 0.7931
O: 0.7069 0.4451 0.8558
O: 0.7244 0.8771 0.0889
O: 0.7777 0.4140 0.5157
O: 0.7931 0.5920 0.9771
O: 0.8558 0.7069 0.4451
O: 0.8771 0.0889 0.7244
O: 0.8768 0.2377 0.0818
O: 0.9618 0.1697 0.3725
O: 0.9771 0.7931 0.5920


Record 2
Li4Fe3Co2Sb3O16: calculated powder diffractogram (Cu Ka), based on a cell relaxed with PBE+U.

Main lines, low angle first (2θ = 5–70°):
2θ/deg  intensity
18.1  100.0
19.2  53.3
19.4  33.6
32.3  30.0
35.1  31.0
35.6  53.7
35.9  26.8
44.4  41.5
58.8  28.9
62.0  23.6

Cell and atoms:
Unit cell a=5.9919 b=5.9919 c=9.8233 alpha=90.09 beta=90.09 gamma=60.69
Atoms (fractional coordinates):
Li: 0.0000 0.0000 0.0000
Li: 0.0046 0.0046 0.4830
Li: 0.3458 0.3458 0.5880
Li: 0.6811 0.6811 0.1147
Fe: 0.1870 0.6771 0.2741
Fe: 0.6771 0.1870 0.2741
Fe: 0.8476 0.8476 0.7740
Co: 0.3577 0.3577 0.0137
Co: 0.6893 0.6893 0.4704
Sb: 0.1860 0.1860 0.2743
Sb: 0.3539 0.8467 0.7737
Sb: 0.8467 0.3539 0.7737
O: 0.0139 0.0139 0.6699
O: 0.0159 0.0159 0.1777
O: 0.0504 0.5011 0.1559
O: 0.1700 0.7030 0.8809
O: 0.1720 0.1720 0.8893
O: 0.3293 0.8580 0.3880
O: 0.3506 0.3506 0.3832
O: 0.4976 0.4976 0.1634
O: 0.5011 0.0504 0.1559
O: 0.5273 0.5273 0.6573
O: 0.5355 0.9828 0.6635
O: 0.6831 0.6831 0.8874
O: 0.7030 0.1700 0.8809
O: 0.8573 0.8573 0.3764
O: 0.8580 0.3293 0.3880
O: 0.9828 0.5355 0.6635


Record 3
Li4Fe2Co3Sb3O16: calculated powder diffractogram (Cu Ka), based on a cell relaxed with PBE+U.

Main lines, low angle first (2θ = 5–70°):
2θ/deg  intensity
18.3  100.0
19.0  56.3
19.3  47.8
24.8  17.2
35.0  29.6
35.2  21.6
35.5  49.5
39.1  19.1
44.0  29.2
44.6  34.3

Cell and atoms:
Unit cell a=6.0433 b=6.0680 c=9.6740 alpha=90.49 beta=90.58 gamma=119.40
Atoms (fractional coordinates):
Li: 0.0000 0.0000 0.0000
Li: 0.0213 0.0114 0.5194
Li: 0.3781 0.6794 0.8962
Li: 0.6941 0.3419 0.4142
Fe: 0.3961 0.7032 0.5206
Fe: 0.7493 0.3693 0.9870
Co: 0.6984 0.8460 0.2291
Co: 0.8766 0.1914 0.7269
Co: 0.8804 0.6813 0.7257
Sb: 0.2064 0.3534 0.2288
Sb: 0.2060 0.8475 0.2280
Sb: 0.3864 0.1936 0.7281
O: 0.0145 0.4848 0.8501
O: 0.0490 0.0242 0.3326
O: 0.0501 0.0360 0.8194
O: 0.0623 0.5320 0.3488
O: 0.2053 0.3477 0.6145
O: 0.2205 0.8722 0.6089
O: 0.3497 0.1690 0.1131
O: 0.3542 0.6715 0.1124
O: 0.5073 0.5244 0.3534
O: 0.5074 0.9787 0.3512
O: 0.5577 0.4891 0.8614
O: 0.5759 0.0585 0.8490
O: 0.7064 0.3382 0.6197
O: 0.7159 0.8711 0.6142
O: 0.8863 0.1878 0.1151
O: 0.8898 0.6954 0.1114


Record 4
Li4Fe2Co3Sn3O16: calculated powder diffractogram (Cu Ka), based on a cell relaxed with PBE+U.

Main lines, low angle first (2θ = 5–70°):
2θ/deg  intensity
18.4  100.0
19.3  25.9
19.4  48.7
19.6  24.5
35.0  16.7
35.5  33.8
35.8  63.9
44.7  24.4
45.0  25.0
59.4  17.4

Cell and atoms:
Unit cell a=5.9787 b=5.9979 c=9.6248 alpha=89.13 beta=89.35 gamma=60.47
Atoms (fractional coordinates):
Li: 0.0000 0.0000 0.0000
Li: 0.0061 0.0090 0.5107
Li: 0.3101 0.3108 0.6178
Li: 0.6472 0.6501 0.1048
Fe: 0.3106 0.3237 0.0059
Fe: 0.6426 0.6511 0.5139
Co: 0.1544 0.1587 0.2869
Co: 0.3252 0.8163 0.7884
Co: 0.8149 0.3270 0.7900
Sn: 0.1533 0.6487 0.2876
Sn: 0.6450 0.1571 0.2886
Sn: 0.8144 0.8192 0.7877
O: 0.0201 0.4570 0.1628
O: 0.1427 0.1585 0.8901
O: 0.1527 0.6655 0.9051
O: 0.3074 0.3110 0.4028
O: 0.3134 0.8297 0.4026
O: 0.4536 0.0243 0.1625
O: 0.4661 0.4700 0.1542
O: 0.4910 0.9450 0.6632
O: 0.5065 0.5041 0.6772
O: 0.6415 0.6421 0.8936
O: 0.6639 0.1638 0.9028
O: 0.8255 0.8262 0.4161
O: 0.8269 0.3173 0.4027
O: 0.9415 0.4879 0.6657
O: 0.9945 0.0011 0.6957
O: 0.9947 0.9999 0.1869


Record 5
Li4Fe3Co3Te2O16: calculated powder diffractogram (Cu Ka), based on a cell relaxed with PBE+U.

Main lines, low angle first (2θ = 5–70°):
2θ/deg  intensity
19.3  51.8
19.5  100.0
24.9  17.1
25.2  22.6
32.4  18.2
32.6  26.8
35.3  35.4
35.9  23.9
44.9  21.3
59.6  13.1

Cell and atoms:
Unit cell a=5.9643 b=5.9812 c=9.7631 alpha=90.62 beta=90.12 gamma=119.72
Atoms (fractional coordinates):
Li: 0.0000 0.0000 0.0000
Li: 0.0015 0.0066 0.5020
Li: 0.3345 0.6666 0.5754
Li: 0.6676 0.3306 0.0743
Fe: 0.1662 0.8227 0.2733
Fe: 0.6578 0.8255 0.2729
Fe: 0.8268 0.6568 0.7720
Co: 0.1691 0.3406 0.2745
Co: 0.3415 0.1682 0.7740
Co: 0.8253 0.1674 0.7744
Te: 0.3262 0.6585 0.0008
Te: 0.6630 0.3269 0.5031
O: 0.0364 0.5233 0.1322
O: 0.1631 0.3314 0.8976
O: 0.1646 0.8181 0.8951
O: 0.3392 0.6755 0.3769
O: 0.3400 0.1621 0.3982
O: 0.4780 0.9578 0.1341
O: 0.4833 0.5198 0.1310
O: 0.5222 0.0373 0.6350
O: 0.5254 0.4869 0.6313
O: 0.6505 0.8179 0.8950
O: 0.6764 0.3314 0.8722
O: 0.8237 0.1642 0.3964
O: 0.8242 0.6478 0.3916
O: 0.9626 0.4837 0.6326
O: 0.9897 0.0020 0.6917
O: 0.9942 0.9902 0.1888


Record 6
Li4Fe2Co3Te3O16: calculated powder diffractogram (Cu Ka), based on a cell relaxed with PBE+U.

Main lines, low angle first (2θ = 5–70°):
2θ/deg  intensity
18.3  100.0
18.8  56.8
18.9  37.0
34.5  45.6
34.6  31.2
34.9  39.0
43.4  29.8
43.8  27.4
44.3  21.6
59.7  27.8

Cell and atoms:
Unit cell a=6.1839 b=6.1982 c=9.7233 alpha=89.45 beta=88.76 gamma=60.12
Atoms (fractional coordinates):
Li: 0.0000 0.0000 0.0000
Li: 0.0110 0.0028 0.4796
Li: 0.3560 0.3206 0.1083
Li: 0.6808 0.6499 0.5852
Fe: 0.3971 0.2993 0.4779
Fe: 0.7354 0.6525 0.0166
Co: 0.6936 0.1442 0.7750
Co: 0.8704 0.3218 0.2718
Co: 0.8702 0.8098 0.2756
Te: 0.1959 0.1553 0.7709
Te: 0.2059 0.6442 0.7686
Te: 0.3782 0.8109 0.2731
O: 0.0374 0.0077 0.6659
O: 0.0581 0.9730 0.1825
O: 0.0607 0.4463 0.6442
O: 0.2220 0.6561 0.3919
O: 0.2261 0.1192 0.3887
O: 0.3407 0.8549 0.8852
O: 0.3489 0.3021 0.8865
O: 0.4934 0.0217 0.6531
O: 0.5104 0.4593 0.6451
O: 0.5311 0.5279 0.1427
O: 0.5334 0.9501 0.1498
O: 0.6805 0.6560 0.3814
O: 0.7056 0.1451 0.3889
O: 0.8492 0.8379 0.9001
O: 0.8892 0.3054 0.8838
O: 0.9983 0.5048 0.1477


Record 7
Li4Fe3Co3Te2O16: calculated powder diffractogram (Cu Ka), based on a cell relaxed with PBE+U.

Main lines, low angle first (2θ = 5–70°):
2θ/deg  intensity
19.3  99.4
19.5  100.0
25.2  29.6
32.4  23.7
32.6  35.4
35.0  31.9
35.3  61.6
35.9  30.8
44.9  28.1
62.0  31.1

Cell and atoms:
Unit cell a=5.9907 b=5.9907 c=9.7505 alpha=90.56 beta=90.56 gamma=59.82
Atoms (fractional coordinates):
Li: 0.0000 0.0000 0.0000
Li: 0.0032 0.0032 0.5038
Li: 0.3400 0.3400 0.4282
Li: 0.6714 0.6714 0.9281
Fe: 0.1749 0.1749 0.7316
Fe: 0.3457 0.8360 0.2301
Fe: 0.8360 0.3457 0.2301
Co: 0.1800 0.6605 0.7278
Co: 0.6605 0.1800 0.7278
Co: 0.8321 0.8321 0.2294
Te: 0.3401 0.3401 0.9998
Te: 0.6740 0.6740 0.5025
O: 0.0018 0.0018 0.8094
O: 0.0076 0.0076 0.3147
O: 0.0416 0.4802 0.8708
O: 0.1781 0.1781 0.1103
O: 0.1794 0.6621 0.1064
O: 0.3369 0.3369 0.6304
O: 0.3507 0.8359 0.6089
O: 0.4802 0.0416 0.8708
O: 0.4860 0.4860 0.8690
O: 0.5174 0.9676 0.3727
O: 0.5246 0.5246 0.3695
O: 0.6621 0.1794 0.1064
O: 0.6643 0.6643 0.1266
O: 0.8359 0.3507 0.6089
O: 0.8360 0.8360 0.6074
O: 0.9676 0.5174 0.3727


Record 8
Li10Ti2Fe3Co3O16: calculated powder diffractogram (Cu Ka), based on a cell relaxed with PBE+U.

Main lines, low angle first (2θ = 5–70°):
2θ/deg  intensity
18.0  76.8
19.3  58.0
19.4  64.0
35.0  29.2
35.6  34.9
35.9  28.4
39.3  37.6
44.2  46.6
44.5  100.0
62.0  43.9

Cell and atoms:
Unit cell a=5.9863 b=5.9920 c=9.8716 alpha=90.15 beta=90.31 gamma=119.68
Atoms (fractional coordinates):
Li: 0.0000 0.0000 0.0000
Li: 0.0040 0.5844 0.9999
Li: 0.1371 0.8582 0.2153
Li: 0.1993 0.3882 0.4998
Li: 0.4091 0.9929 0.0033
Li: 0.4769 0.5238 0.7162
Li: 0.6113 0.7971 0.5014
Li: 0.6197 0.3887 0.5026
Li: 0.7996 0.1934 0.9353
Li: 0.8077 0.1919 0.4322
Ti: 0.1578 0.8754 0.4765
Ti: 0.4905 0.5398 0.9796
Fe: 0.1498 0.3678 0.2323
Fe: 0.9770 0.0296 0.7350
Fe: 0.9865 0.5377 0.7320
Co: 0.4674 0.0259 0.7365
Co: 0.6394 0.8547 0.2365
Co: 0.6413 0.3641 0.2363
O: 0.1374 0.8488 0.8540
O: 0.1390 0.3679 0.8615
O: 0.2936 0.6960 0.6065
O: 0.3005 0.1719 0.5998
O: 0.3083 0.6760 0.1082
O: 0.3093 0.2144 0.1066
O: 0.4621 0.0145 0.3706
O: 0.4687 0.5224 0.3524
O: 0.6247 0.8459 0.8737
O: 0.6340 0.3728 0.8669
O: 0.7857 0.6832 0.1019
O: 0.8057 0.2083 0.6251
O: 0.8123 0.1942 0.1272
O: 0.8318 0.7015 0.6081
O: 0.9878 0.0253 0.3656
O: 0.9884 0.5335 0.3626


Record 9
Li4Ti3Fe2Co3O16: calculated powder diffractogram (Cu Ka), based on a cell relaxed with PBE+U.

Main lines, low angle first (2θ = 5–70°):
2θ/deg  intensity
18.5  100.0
19.6  57.2
19.8  49.5
19.9  57.9
33.2  40.7
36.0  30.4
36.2  29.9
36.4  27.9
45.9  31.7
60.8  37.4

Cell and atoms:
Unit cell a=5.8226 b=5.8490 c=9.5837 alpha=90.24 beta=90.36 gamma=119.01
Atoms (fractional coordinates):
Li: 0.0000 0.0000 0.0000
Li: 0.0038 0.9988 0.4971
Li: 0.3448 0.6600 0.5986
Li: 0.6824 0.3270 0.1057
Ti: 0.1828 0.8242 0.2789
Ti: 0.3499 0.1594 0.7788
Ti: 0.8422 0.6535 0.7794
Fe: 0.3481 0.6566 0.0058
Fe: 0.6728 0.3228 0.5033
Co: 0.1791 0.3321 0.2802
Co: 0.6703 0.8233 0.2831
Co: 0.8401 0.1641 0.7838
O: 0.0025 0.9977 0.6854
O: 0.0507 0.5148 0.1565
O: 0.1749 0.8309 0.8930
O: 0.1795 0.3210 0.8946
O: 0.3326 0.1528 0.3938
O: 0.3517 0.6683 0.3905
O: 0.4960 0.9563 0.1600
O: 0.5073 0.5269 0.1625
O: 0.5199 0.0293 0.6553
O: 0.5246 0.4741 0.6606
O: 0.6785 0.3271 0.8910
O: 0.6813 0.8228 0.8924
O: 0.8306 0.1419 0.3870
O: 0.8406 0.6696 0.3911
O: 0.9719 0.4822 0.6521
O: 0.9950 0.9821 0.1860